[1]
ErMg5: computed powder XRD pattern (Cu Kα (λ = 1.5418 Å)), based on a crystal structure in the Materials Project, relaxed with PBE.

```
data_ErMg5
_chemical_formula_sum 'Er2 Mg10'
_space_group_name_H-M_alt 'C 1 m 1'
_space_group_IT_number 8
_space_group_name_Hall 'C -2y'
_cell_length_a 12.469
_cell_length_b 3.254
_cell_length_c 7.536
_cell_angle_alpha 90.00
_cell_angle_beta 105.22
_cell_angle_gamma 90.00
loop_
_atom_site_label
_atom_site_type_symbol
_atom_site_fract_x
_atom_site_fract_y
_atom_site_fract_z
Er1 Er 0.000 0.000 0.000
Mg1 Mg 0.125 0.500 0.736
Mg2 Mg 0.172 0.500 0.346
Mg3 Mg 0.281 0.000 0.075
Mg4 Mg 0.331 0.000 0.668
Mg5 Mg 0.453 0.500 0.413
```

The 6 most intense peaks (10° ≤ 2θ ≤ 90°), by angle:
h k l	two_theta	I/Imax
0 0 1	12.17	100
2 0 0	14.73	65
2 0 -1	16.47	54
4 0 -2	33.30	44
3 1 0	35.52	64
1 1 -2	36.49	60



[2]
La2IrAu: computed powder XRD pattern (Cu Kα (λ = 1.5418 Å)), based on a crystal structure in the Materials Project, relaxed with PBE.

```
data_La2IrAu
_chemical_formula_sum 'La8 Ir4 Au4'
_space_group_name_H-M_alt 'F m -3 m'
_space_group_IT_number 225
_space_group_name_Hall '-F 4 2 3'
_cell_length_a 7.377
_cell_length_b 7.377
_cell_length_c 7.377
_cell_angle_alpha 90.00
_cell_angle_beta 90.00
_cell_angle_gamma 90.00
loop_
_atom_site_label
_atom_site_type_symbol
_atom_site_fract_x
_atom_site_fract_y
_atom_site_fract_z
La1 La 0.250 0.250 0.250
Ir1 Ir 0.000 0.000 0.000
Au1 Au 0.000 0.000 0.500
```

The 6 most intense peaks (10° ≤ 2θ ≤ 90°), by angle:
h k l	two_theta	I/Imax
2 0 0	24.13	3
2 2 0	34.38	100
4 0 0	49.42	18
4 2 2	61.59	37
4 4 0	72.48	12
6 2 0	82.74	17



[3]
Lu5Ni2Sb: computed powder XRD pattern (Cu Kα (λ = 1.5418 Å)), based on a crystal structure in the Materials Project, relaxed with PBE.

```
data_Lu5Ni2Sb
_chemical_formula_sum 'Lu20 Ni8 Sb4'
_space_group_name_H-M_alt 'I 4/m c m'
_space_group_IT_number 140
_space_group_name_Hall '-I 4 2c'
_cell_length_a 7.401
_cell_length_b 7.401
_cell_length_c 13.419
_cell_angle_alpha 90.00
_cell_angle_beta 90.00
_cell_angle_gamma 90.00
loop_
_atom_site_label
_atom_site_type_symbol
_atom_site_fract_x
_atom_site_fract_y
_atom_site_fract_z
Lu1 Lu 0.000 0.000 0.000
Lu2 Lu 0.159 0.341 0.137
Ni1 Ni 0.128 0.372 0.500
Sb1 Sb 0.000 0.000 0.250
```

The 6 most intense peaks (10° ≤ 2θ ≤ 90°), by angle:
h k l	two_theta	I/Imax
2 1 1	27.76	36
1 1 4	31.68	36
2 1 3	33.69	100
2 0 4	36.14	45
3 1 0	38.46	64
3 3 4	59.75	25



[4]
NbGe2: computed powder XRD pattern (Cu Kα (λ = 1.5418 Å)), based on a crystal structure in the Materials Project, relaxed with PBE.

```
data_NbGe2
_chemical_formula_sum 'Nb3 Ge6'
_space_group_name_H-M_alt 'P 62 2 2'
_space_group_IT_number 180
_space_group_name_Hall 'P 62 2 (0 0 4)'
_cell_length_a 5.0133
_cell_length_b 5.0133
_cell_length_c 6.8417
_cell_angle_alpha 90.00
_cell_angle_beta 90.00
_cell_angle_gamma 120.00
loop_
_atom_site_label
_atom_site_type_symbol
_atom_site_fract_x
_atom_site_fract_y
_atom_site_fract_z
Nb1 Nb 0.0000 0.5000 0.1667
Ge1 Ge 0.1641 0.3282 0.5000
```

The 6 most intense peaks (10° ≤ 2θ ≤ 90°), by angle:
h k l	two_theta	I/Imax
1 1 1	38.24	100
0 0 3	39.51	34
1 1 2	44.83	63
3 0 1	65.98	19
1 1 4	66.14	19
2 2 3	89.15	19



[5]
Na2NbGaSi2SO12: computed powder XRD pattern (Cu Kα (λ = 1.5418 Å)), based on a crystal structure in the Materials Project, relaxed with PBE.

```
data_Na2NbGaSi2SO12
_chemical_formula_sum 'Na8 Nb4 Ga4 Si8 S4 O48'
_space_group_name_H-M_alt 'C 1 c 1'
_space_group_IT_number 9
_space_group_name_Hall 'C -2yc'
_cell_length_a 15.371
_cell_length_b 8.952
_cell_length_c 9.196
_cell_angle_alpha 90.00
_cell_angle_beta 125.43
_cell_angle_gamma 90.00
loop_
_atom_site_label
_atom_site_type_symbol
_atom_site_fract_x
_atom_site_fract_y
_atom_site_fract_z
Na1 Na 0.000 0.056 0.000
Na2 Na 0.071 0.254 0.734
Nb1 Nb 0.213 0.249 0.186
Ga1 Ga 0.414 0.272 0.808
Si1 Si 0.174 0.115 0.504
Si2 Si 0.320 0.457 0.005
S1 S 0.463 0.099 0.505
O1 O 0.053 0.319 0.013
O2 O 0.068 0.187 0.479
O3 O 0.167 0.072 0.023
O4 O 0.172 0.137 0.321
O5 O 0.236 0.354 0.020
O6 O 0.250 0.427 0.332
O7 O 0.283 0.177 0.677
O8 O 0.368 0.173 0.341
O9 O 0.399 0.353 0.986
O10 O 0.401 0.445 0.682
O11 O 0.466 0.130 0.664
O12 O 0.470 0.060 0.980
```

The 6 most intense peaks (10° ≤ 2θ ≤ 90°), by angle:
h k l	two_theta	I/Imax
2 0 -2	19.31	65
1 1 1	19.66	75
3 1 -1	19.97	100
3 1 -3	30.84	55
0 2 2	31.13	54
3 1 1	31.59	58



[6]
Te2Mo2WSe2S2: computed powder XRD pattern (Cu Kα (λ = 1.5418 Å)), based on a crystal structure in the Materials Project, relaxed with PBE.

```
data_Te2Mo2WSe2S2
_chemical_formula_sum 'Te2 Mo2 W1 Se2 S2'
_space_group_name_H-M_alt 'P 3 m 1'
_space_group_IT_number 156
_space_group_name_Hall 'P 3 -2"'
_cell_length_a 3.3519
_cell_length_b 3.3519
_cell_length_c 30.9936
_cell_angle_alpha 90.00
_cell_angle_beta 90.00
_cell_angle_gamma 120.00
loop_
_atom_site_label
_atom_site_type_symbol
_atom_site_fract_x
_atom_site_fract_y
_atom_site_fract_z
Te1 Te 0.0000 0.0000 0.0000
Te2 Te 0.0000 0.0000 0.1230
Mo1 Mo 0.0000 0.0000 0.2930
Mo2 Mo 0.0000 0.0000 0.8302
W1 W 0.3333 0.6667 0.0615
Se1 Se 0.3333 0.6667 0.2392
Se2 Se 0.3333 0.6667 0.3467
S1 S 0.3333 0.6667 0.7813
S2 S 0.3333 0.6667 0.8792
```

The 6 most intense peaks (10° ≤ 2θ ≤ 90°), by angle:
h k l	two_theta	I/Imax
0 0 4	11.42	100
1 0 0	30.80	31
0 1 6	35.47	56
1 0 7	37.03	67
1 0 11	44.83	40
1 1 0	54.81	38



[7]
Hf9Ni11: computed powder XRD pattern (Cu Kα (λ = 1.5418 Å)), based on a crystal structure in the Materials Project, relaxed with PBE.

```
data_Hf9Ni11
_chemical_formula_sum 'Hf18 Ni22'
_space_group_name_H-M_alt 'I 4/m'
_space_group_IT_number 87
_space_group_name_Hall '-I 4'
_cell_length_a 9.904
_cell_length_b 9.904
_cell_length_c 6.379
_cell_angle_alpha 90.00
_cell_angle_beta 90.00
_cell_angle_gamma 90.00
loop_
_atom_site_label
_atom_site_type_symbol
_atom_site_fract_x
_atom_site_fract_y
_atom_site_fract_z
Hf1 Hf 0.000 0.000 0.000
Hf2 Hf 0.088 0.256 0.500
Hf3 Hf 0.093 0.309 0.000
Ni1 Ni 0.000 0.000 0.500
Ni2 Ni 0.000 0.500 0.250
Ni3 Ni 0.115 0.779 0.210
```

The 6 most intense peaks (10° ≤ 2θ ≤ 90°), by angle:
h k l	two_theta	I/Imax
0 0 2	27.97	16
1 3 0	28.50	24
3 2 1	35.58	17
1 3 2	40.36	100
4 2 0	40.74	43
4 2 4	73.15	17



[8]
MgIn: computed powder XRD pattern (Cu Kα (λ = 1.5418 Å)), based on a crystal structure in the Materials Project, relaxed with PBE.

```
data_MgIn
_chemical_formula_sum 'Mg1 In1'
_space_group_name_H-M_alt 'P 4/m m m'
_space_group_IT_number 123
_space_group_name_Hall '-P 4 2'
_cell_length_a 3.267
_cell_length_b 3.267
_cell_length_c 4.423
_cell_angle_alpha 90.00
_cell_angle_beta 90.00
_cell_angle_gamma 90.00
loop_
_atom_site_label
_atom_site_type_symbol
_atom_site_fract_x
_atom_site_fract_y
_atom_site_fract_z
Mg1 Mg 0.000 0.000 0.000
In1 In 0.500 0.500 0.500
```

The 6 most intense peaks (10° ≤ 2θ ≤ 90°), by angle:
h k l	two_theta	I/Imax
0 0 1	20.08	38
1 0 0	27.30	36
1 0 1	34.12	100
1 1 0	38.99	34
1 1 2	57.71	21
2 1 1	67.52	26



Question: Which formula does entry 1 have?
Answer: ErMg5